For ZnCrBi2O6, a DFT-relaxed cell (PBE+U, Alexandria) gives the simulated X-ray diffraction stick pattern in this record (Cu Kα (λ = 1.5418 Å)).

Structure:
```
ZnCrBi2O6
1.0
2.8051 1.6195 4.7383
-2.8051 1.6195 4.7383
0.0000 -3.2390 4.7383
Zn Cr Bi O
1 1 2 6
direct
0.0000 0.0000 0.0000
0.5137 0.5137 0.5137
0.2215 0.2215 0.2215
0.7304 0.7304 0.7304
0.1862 0.7831 0.3631
0.3046 0.6568 0.8559
0.3631 0.1862 0.7831
0.6568 0.8559 0.3046
0.7831 0.3631 0.1862
0.8559 0.3046 0.6568
```

Most intense lines, 2θ from 10° to 90°, in order of falling intensity:
2θ 31.18, 2.868 Å, rel. 100
2θ 31.90, 2.805 Å, rel. 96
2θ 22.16, 4.011 Å, rel. 77
2θ 45.21, 2.005 Å, rel. 44
2θ 56.40, 1.631 Å, rel. 41
2θ 50.42, 1.810 Å, rel. 34
2θ 39.19, 2.299 Å, rel. 26
2θ 56.85, 1.619 Å, rel. 25
2θ 51.39, 1.778 Å, rel. 18
2θ 55.03, 1.669 Å, rel. 17